(1)
This entry pairs a crystal structure of CrNiRu2 with its simulated powder X-ray diffraction pattern. Radiation: Cu Kα (weighted mean of Kα1 and Kα2). Structure: the GGA-PBE geometry in Alexandria.
Neutral-atom scattering factors, no anomalous dispersion.

Main lines, low angle first (10 to 90 degrees two-theta):
| two_theta | intensity |
| --- | --- |
| 21.4 | 19 |
| 40.5 | 89 |
| 43.7 | 39 |
| 44.9 | 100 |
| 51.5 | 43 |
| 69.8 | 17 |
| 70.5 | 18 |
| 70.7 | 9 |
| 81.1 | 16 |
| 86.7 | 20 |
| 86.9 | 10 |
| 87.7 | 9 |

Structure:
Cell lengths 8.2911, 5.3316, 4.6307 Å; angles 90.00, 90.00, 90.00 degrees
Element x y z (fractional)
Cr1 0.0000 0.1381 0.2500
Cr2 0.0000 0.8619 0.7500
Cr3 0.5000 0.3619 0.7500
Cr4 0.5000 0.6381 0.2500
Ni1 0.0000 0.3696 0.7500
Ni2 0.0000 0.6304 0.2500
Ni3 0.5000 0.1304 0.2500
Ni4 0.5000 0.8696 0.7500
Ru1 0.2469 0.1226 0.5817
Ru2 0.2469 0.8774 0.0817
Ru3 0.2531 0.3774 0.0817
Ru4 0.2531 0.6226 0.5817
Ru5 0.7469 0.3774 0.4183
Ru6 0.7469 0.6226 0.9183
Ru7 0.7531 0.1226 0.9183
Ru8 0.7531 0.8774 0.4183


(2)
This entry pairs a crystal structure of Ba17Ca12 with its simulated powder X-ray diffraction pattern. Radiation: Cu Kα (weighted mean of Kα1 and Kα2). Structure: the GGA-PBE geometry in Alexandria.
Neutral-atom scattering factors, no anomalous dispersion.

Main lines, low angle first (10 to 90 degrees two-theta):
| two_theta | intensity |
| --- | --- |
| 14.7 | 13 |
| 24.1 | 7 |
| 25.6 | 100 |
| 28.4 | 11 |
| 29.7 | 11 |
| 30.9 | 7 |
| 36.6 | 8 |
| 37.6 | 5 |
| 45.2 | 31 |
| 46.9 | 6 |
| 50.3 | 6 |
| 53.5 | 6 |

Structure:
Cell lengths 12.7666, 12.7666, 12.7666 Å; angles 109.47, 109.47, 109.47 degrees
Element x y z (fractional)
Ba1 0.0000 0.0000 0.0000
Ba2 0.0000 0.0000 0.6470
Ba3 0.0000 0.4065 0.6851
Ba4 0.0000 0.6470 0.0000
Ba5 0.0000 0.6851 0.4065
Ba6 0.2786 0.5935 0.5935
Ba7 0.3149 0.3149 0.7214
Ba8 0.3149 0.7214 0.3149
Ba9 0.3530 0.3530 0.3530
Ba10 0.4065 0.0000 0.6851
Ba11 0.4065 0.6851 0.0000
Ba12 0.5935 0.2786 0.5935
Ba13 0.5935 0.5935 0.2786
Ba14 0.6470 0.0000 0.0000
Ba15 0.6851 0.0000 0.4065
Ba16 0.6851 0.4065 0.0000
Ba17 0.7214 0.3149 0.3149
Ca1 0.0000 0.1828 0.3672
Ca2 0.0000 0.3672 0.1828
Ca3 0.1828 0.0000 0.3672
Ca4 0.1828 0.3672 0.0000
Ca5 0.1843 0.8172 0.8172
Ca6 0.3672 0.0000 0.1828
Ca7 0.3672 0.1828 0.0000
Ca8 0.6328 0.6328 0.8157
Ca9 0.6328 0.8157 0.6328
Ca10 0.8157 0.6328 0.6328
Ca11 0.8172 0.1843 0.8172
Ca12 0.8172 0.8172 0.1843


(3)
This entry pairs a crystal structure of Tc5Pt4 with its simulated powder X-ray diffraction pattern. Radiation: Cu Kα (weighted mean of Kα1 and Kα2). Structure: the GGA-PBE geometry in Alexandria.
Neutral-atom scattering factors, no anomalous dispersion.

Main lines, low angle first (10 to 90 degrees two-theta):
| two_theta | intensity |
| --- | --- |
| 15.1 | 6 |
| 25.2 | 2 |
| 30.5 | 5 |
| 33.3 | 8 |
| 40.0 | 100 |
| 46.5 | 49 |
| 56.6 | 3 |
| 65.1 | 3 |
| 67.8 | 31 |
| 77.7 | 2 |
| 81.7 | 37 |
| 86.2 | 11 |

Structure:
Cell lengths 6.1795, 6.1795, 6.1795 Å; angles 95.74, 95.74, 143.12 degrees
Element x y z (fractional)
Tc1 0.0000 0.0000 0.0000
Tc2 0.3398 0.3398 0.6797
Tc3 0.3398 0.6602 0.0000
Tc4 0.6602 0.3398 0.0000
Tc5 0.6602 0.6602 0.3203
Pt1 0.0000 0.3262 0.3262
Pt2 0.0000 0.6738 0.6738
Pt3 0.3262 0.0000 0.3262
Pt4 0.6738 0.0000 0.6738